Theoretical powder diffraction line list
Compound: UNb3O10
Radiation: copper Kα
Structure: a GGA-PBE-relaxed structure
Kinematic intensities with the Lorentz-polarization factor, no thermal factor.

Largest 10 diffraction maxima, low angle first, 10 to 90 degrees two-theta:
| 2θ (°) | intensity | index |
| --- | --- | --- |
| 21.90 | 59 | 0 0 4 |
| 27.37 | 100 | 2 2 0 |
| 35.32 | 55 | 2 2 4 |
| 44.66 | 12 | 0 0 8 |
| 48.37 | 27 | 4 0 0 |
| 53.18 | 27 | 0 4 8 |
| 53.70 | 25 | 4 0 4 |
| 56.47 | 15 | 0 8 0 |
| 61.30 | 15 | 0 8 4 |
| 67.95 | 17 | 4 0 8 |

Structure:
a b c (Å): 7.534 13.023 16.231
angles (deg): 90.00 90.00 90.00
Space group Fddd (No. 70, origin choice 2)
Inequivalent atoms, fractional coordinates:
1 U 0.125 0.125 0.125 x8
2 Nb 0.125 0.125 0.387 x16
3 Nb 0.125 0.125 0.625 x8
4 O 0.073 0.274 0.877 x32
5 O 0.125 0.125 0.010 x16
6 O 0.125 0.125 0.501 x16
7 O 0.125 0.328 0.125 x16